# MgFe2Si2SbO9
Theoretical powder X-ray diffraction pattern, Cu Kα (weighted mean of Kα1 and Kα2). Input: the GGA+U geometry in the Materials Project.
Peak positions follow from Bragg's law for the DFT cell and can differ from measured ones.

Top 10 peaks for 2θ from 15° to 90°, in order of falling intensity:
Position (°2θ), intensity, hkl
23.87, 100, 0 1 1
24.04, 98, 1 0 1
34.17, 91, 2 -1 0
26.57, 90, 1 0 -2
26.71, 86, 0 1 -2
22.19, 75, -1 1 1
20.65, 74, 0 1 -1
33.78, 73, 1 1 -1
34.03, 68, 1 -2 0
22.41, 65, 1 -1 1

Crystal structure
```
15
Lattice="5.2817 0.0000 0.0000 -2.5840 4.6168 0.0000 -0.9217 -1.3837 8.2123" Properties=species:S:1:pos:R:3 pbc="T T T"
Mg 0.0000 0.0000 0.0000
Fe -0.7914 1.7739 7.6436
Fe 1.7410 0.2880 7.6804
Si -0.8198 1.7346 2.4085
Si 1.8619 0.1839 2.4123
Sb 1.8540 3.2985 5.4268
O -0.8922 1.6337 0.7798
O 0.0468 0.0110 6.6277
O 0.5009 0.9248 2.9657
O -0.7571 3.2615 3.0046
O 1.8691 0.1283 0.7801
O 0.2701 3.4419 6.6727
O 1.8036 2.9670 0.5656
O 3.1521 0.9675 3.0569
O 2.6307 1.8767 6.6638
```